Diffraction record for Th2HSe3. The powder diffractogram is computed, not measured: it uses a DFT-relaxed cell (GGA-PBE, Alexandria) and CuKα.
No peak broadening, texture or thermal motion is included.

Crystal structure
Unit cell a=11.378 b=4.027 c=11.665 alpha=90.00 beta=90.00 gamma=90.00
Space group Pnma (No. 62)
Symmetry-distinct sites (fractional):
Th 0.032 0.250 0.184
Th 0.197 0.250 0.517
H 0.126 0.750 0.125
Se 0.056 0.750 0.377
Se 0.122 0.250 0.941
Se 0.208 0.750 0.704

Top 12 peaks for 2θ from 10° to 90°, low angle first:
d [Å]	Rel. int.	index
4.073	96	2 0 2
3.608	68	3 0 1
3.181	74	1 1 2
2.797	65	0 1 3
2.763	50	4 0 1
2.716	99	1 1 3
2.687	74	3 1 1
2.312	49	1 1 4
2.158	100	4 1 2
2.013	57	0 2 0
1.987	47	3 0 5
1.406	44	7 1 3



Diffraction record for Ti3H2Se4. The powder diffractogram is computed, not measured: it uses a DFT-relaxed cell (GGA-PBE, Alexandria) and CuKα.
No peak broadening, texture or thermal motion is included.

Crystal structure
Unit cell a=3.3666 b=3.3666 c=17.1291 alpha=90.00 beta=90.00 gamma=120.00
Space group P3m1 (No. 156)
Symmetry-distinct sites (fractional):
Ti 0.0000 0.0000 0.0000
Ti 0.0000 0.0000 0.3588
Ti 0.6667 0.3333 0.7507
H 0.6667 0.3333 0.0609
H 0.6667 0.3333 0.9597
Se 0.0000 0.0000 0.6580
Se 0.0000 0.0000 0.8494
Se 0.6667 0.3333 0.2624
Se 0.6667 0.3333 0.4552

Top 12 peaks for 2θ from 10° to 90°, low angle first:
d [Å]	Rel. int.	index
8.565	93	0 0 2
3.426	30	0 0 5
2.916	70	1 0 0
2.874	61	0 1 1
2.597	26	1 0 3
2.410	86	1 0 4
2.220	20	1 0 5
2.040	100	0 1 6
1.683	50	1 1 0
1.511	16	1 1 5
1.298	22	2 0 6
1.201	19	1 1 10



Diffraction record for Tl5H2Se3. The powder diffractogram is computed, not measured: it uses a DFT-relaxed cell (GGA-PBE, Alexandria) and CuKα.
No peak broadening, texture or thermal motion is included.

Crystal structure
Unit cell a=7.968 b=8.355 c=8.419 alpha=94.79 beta=92.76 gamma=92.20
Space group P-1 (No. 2)
Symmetry-distinct sites (fractional):
Tl 0.099 0.399 0.245
Tl 0.137 0.851 0.154
Tl 0.259 0.092 0.561
Tl 0.391 0.626 0.621
Tl 0.400 0.244 0.928
H 0.077 0.103 0.895
H 0.411 0.382 0.550
Se 0.098 0.737 0.456
Se 0.248 0.608 0.952
Se 0.398 0.062 0.228

Top 12 peaks for 2θ from 10° to 90°, low angle first:
d [Å]	Rel. int.	index
3.859	100	0 2 -1
3.666	67	2 0 -1
3.625	67	1 0 2
3.523	62	1 1 -2
3.355	39	2 1 -1
3.213	50	1 2 1
3.161	51	2 1 1
2.937	60	2 -2 0
2.814	36	2 2 0
2.722	98	-1 2 2
2.679	55	1 0 -3
2.344	33	3 1 1